Record 1
Starting from a crystal structure in Alexandria, relaxed with PBE+U, the X-ray diffraction stick pattern of Rb2BaCoF6 was computed for Cu Kα X-rays.

Crystal structure
Cell lengths 6.5430, 6.5430, 6.5430 Å; angles 120.65, 120.65, 88.89 degrees
Positions (direct):
Rb1 0.2500 0.7500 0.5000
Rb2 0.7500 0.2500 0.5000
Ba1 0.0000 0.0000 0.0000
Co1 0.5000 0.5000 0.0000
F1 0.2716 0.2716 0.0000
F2 0.2777 0.2777 0.5554
F3 0.2777 0.7223 0.0000
F4 0.7223 0.2777 0.0000
F5 0.7223 0.7223 0.4446
F6 0.7284 0.7284 0.0000

Most intense lines, 2θ = 15–90°, sorted by position:
d = 3.271 Å, I 100
d = 3.240 Å, I 49
d = 2.336 Å, I 21
d = 2.291 Å, I 38
d = 1.895 Å, I 20
d = 1.876 Å, I 39
d = 1.635 Å, I 24
d = 1.620 Å, I 12
d = 1.331 Å, I 11
d = 1.231 Å, I 11

Record 2
Starting from a crystal structure in Alexandria, relaxed with PBE+U, the X-ray diffraction stick pattern of SrLaMnO3 was computed for Cu Kα X-rays.

Crystal structure
Cell lengths 6.9957, 6.9957, 6.9957 Å; angles 150.01, 147.85, 44.54 degrees
Positions (direct):
Sr1 0.0000 0.0000 0.0000
La1 0.2900 0.2900 0.0000
Mn1 0.6410 0.6410 0.0000
O1 0.1498 0.6498 0.5000
O2 0.4746 0.4746 0.0000
O3 0.8068 0.8068 0.0000

Most intense lines, 2θ = 15–90°, sorted by position:
d = 3.711 Å, I 22
d = 2.883 Å, I 64
d = 2.774 Å, I 78
d = 2.645 Å, I 100
d = 2.158 Å, I 21
d = 2.048 Å, I 33
d = 1.937 Å, I 24
d = 1.672 Å, I 29
d = 1.588 Å, I 29
d = 1.533 Å, I 20